[1]
For Er9TmSc2, the PBE geometry in Alexandria gives the theoretical X-ray powder pattern in this record (Cu Ka).

Main lines, most intense first (2θ from 15° to 90°):
2θ/deg  Rel. int.
32.8  100
32.3  90
58.2  31
46.6  30
64.2  29
58.5  16
36.3  15
30.8  14
83.3  12
24.9  12

Cell and atoms:
```
Er9TmSc2
1.0
10.9318 0.0000 0.0000
-5.4659 9.4672 0.0000
0.0000 0.0000 3.4253
Er Tm Sc
9 1 2
direct
0.0000 0.5000 0.0000
0.1786 0.3572 0.5000
0.1786 0.8214 0.5000
0.3572 0.1786 0.5000
0.5000 0.0000 0.0000
0.5000 0.5000 0.0000
0.6428 0.8214 0.5000
0.8214 0.1786 0.5000
0.8214 0.6428 0.5000
0.0000 0.0000 0.0000
0.3333 0.6667 0.0000
0.6667 0.3333 0.0000
```

***

[2]
For VGaIBr2, the PBE geometry in Alexandria gives the theoretical X-ray powder pattern in this record (Cu Ka).

Main lines, most intense first (2θ from 15° to 90°):
2θ/deg  Rel. int.
29.1  100
35.8  43
46.8  39
22.9  35
60.3  33
51.5  15
42.9  13
75.9  12
51.7  12
72.3  10

Cell and atoms:
```
VGaIBr2
1.0
5.0155 0.0000 0.0000
0.0000 5.0155 0.0000
0.0000 0.0000 6.1261
V Ga I Br
1 1 1 2
direct
0.0000 0.0000 0.0000
0.0000 0.0000 0.5000
0.5000 0.5000 0.0000
0.0000 0.5000 0.5000
0.5000 0.0000 0.5000
```

***

[3]
For LiZrGaI, the PBE geometry in Alexandria gives the theoretical X-ray powder pattern in this record (Cu Ka).

Main lines, most intense first (2θ from 15° to 90°):
2θ/deg  Rel. int.
28.1  100
31.1  94
28.3  90
43.7  69
34.6  60
35.1  57
34.9  49
42.7  43
49.1  29
23.2  29

Cell and atoms:
```
LiZrGaI
1.0
3.7272 0.0000 0.0000
1.3456 3.5029 0.0000
0.1345 0.0681 7.6521
Li Zr Ga I
1 1 1 1
direct
0.0000 0.0000 0.0000
0.7241 0.7332 0.3660
0.3618 0.3669 0.1635
0.0615 0.0752 0.6313
```